Starting from a DFT-relaxed cell (PBE, Alexandria), the powder XRD pattern of HRh3W was simulated for Cu Kα.
No peak broadening, texture or thermal motion is included.

Main lines, low angle first (10 to 90 degrees two-theta):
| 2θ (°) | I_rel |
| --- | --- |
| 22.67 | 7 |
| 39.80 | 100 |
| 46.29 | 49 |
| 67.54 | 31 |
| 81.36 | 37 |
| 85.81 | 11 |

Structure:
Cell: 3.9226 3.9226 3.9226 Å, 90.00 90.00 90.00°
Sites, in units of the cell vectors:
H1 0.0000 0.0000 0.0000
Rh1 0.0000 0.0000 0.5000
Rh2 0.0000 0.5000 0.0000
Rh3 0.5000 0.0000 0.0000
W1 0.5000 0.5000 0.5000

=====

Starting from a DFT-relaxed cell (PBE, Alexandria), the powder XRD pattern of Zn2H3Rh3 was simulated for Cu Kα.
No peak broadening, texture or thermal motion is included.

Main lines, low angle first (10 to 90 degrees two-theta):
| 2θ (°) | I_rel |
| --- | --- |
| 33.92 | 92 |
| 35.75 | 42 |
| 41.16 | 43 |
| 41.36 | 94 |
| 46.92 | 100 |
| 51.36 | 29 |

Structure:
Cell: 2.8462 5.4845 5.4845 Å, 103.31 90.00 90.00°
Sites, in units of the cell vectors:
Zn1 0.0000 0.1505 0.8495
Zn2 0.0000 0.8495 0.1505
H1 0.0000 0.3354 0.3354
H2 0.0000 0.5579 0.7977
H3 0.0000 0.7977 0.5579
Rh1 0.5000 0.1603 0.4654
Rh2 0.5000 0.4654 0.1603
Rh3 0.5000 0.7144 0.7144

=====

Starting from a DFT-relaxed cell (PBE, Alexandria), the powder XRD pattern of Zn2H3Rh2 was simulated for Cu Kα.
No peak broadening, texture or thermal motion is included.

Main lines, low angle first (10 to 90 degrees two-theta):
| 2θ (°) | I_rel |
| --- | --- |
| 27.64 | 5 |
| 39.49 | 100 |
| 53.09 | 3 |
| 57.07 | 16 |
| 71.62 | 30 |
| 85.00 | 9 |

Structure:
Cell: 5.5902 5.5902 5.5902 Å, 109.47 109.47 109.47°
Sites, in units of the cell vectors:
Zn1 0.0000 0.9912 0.5000
Zn2 0.5000 0.0000 0.9912
Zn3 0.5088 0.5088 0.5088
Zn4 0.9912 0.5000 0.0000
H1 0.0046 0.2500 0.2546
H2 0.2454 0.4954 0.7500
H3 0.2500 0.2546 0.0046
H4 0.2546 0.0046 0.2500
H5 0.4954 0.7500 0.2454
H6 0.7500 0.2454 0.4954
Rh1 0.0000 0.5270 0.5000
Rh2 0.5000 0.0000 0.5270
Rh3 0.5270 0.5000 0.0000
Rh4 0.9730 0.9730 0.9730

=====

Starting from a DFT-relaxed cell (PBE, Alexandria), the powder XRD pattern of Zr2H2Rh was simulated for Cu Kα.
No peak broadening, texture or thermal motion is included.

Main lines, low angle first (10 to 90 degrees two-theta):
| 2θ (°) | I_rel |
| --- | --- |
| 33.58 | 100 |
| 34.16 | 48 |
| 37.53 | 42 |
| 41.89 | 50 |
| 42.31 | 47 |
| 42.58 | 75 |

Structure:
Cell: 5.4853 5.4853 5.6013 Å, 119.78 119.78 76.09°
Sites, in units of the cell vectors:
Zr1 0.0057 0.3370 0.1762
Zr2 0.3370 0.0057 0.6762
Zr3 0.6630 0.9943 0.3238
Zr4 0.9943 0.6630 0.8238
H1 0.0035 0.2417 0.5092
H2 0.2417 0.0035 0.0092
H3 0.7583 0.9965 0.9908
H4 0.9965 0.7583 0.4908
Rh1 0.4873 0.5127 0.2500
Rh2 0.5127 0.4873 0.7500

=====

Starting from a DFT-relaxed cell (PBE, Alexandria), the powder XRD pattern of ZrHRh3 was simulated for Cu Kα.
No peak broadening, texture or thermal motion is included.

Main lines, low angle first (10 to 90 degrees two-theta):
| 2θ (°) | I_rel |
| --- | --- |
| 38.54 | 100 |
| 38.74 | 100 |
| 44.87 | 63 |
| 45.00 | 33 |
| 65.38 | 40 |
| 78.51 | 23 |

Structure:
Cell: 4.0288 4.0406 8.0785 Å, 90.00 90.43 90.00°
Sites, in units of the cell vectors:
Zr1 0.0029 0.0000 0.2593
Zr2 0.9971 0.0000 0.7407
H1 0.3309 0.6880 0.9044
H2 0.6691 0.6880 0.0956
Rh1 0.0000 0.4871 0.0000
Rh2 0.0000 0.4948 0.5000
Rh3 0.4902 0.4865 0.2627
Rh4 0.5000 0.0334 0.0000
Rh5 0.5000 0.9924 0.5000
Rh6 0.5098 0.4865 0.7373